1.
Computed powder diffractogram of K3NdV2O8 for Cu Kα, 1.54184 Å, from a structure optimized by DFT (PBE+U).

Crystal structure
Unit cell a=7.686 b=6.070 c=10.049 alpha=90.00 beta=90.98 gamma=90.00
Space group P2_1/m (No. 11)
Unique sites:
K (0.002, 0.250, 0.193) (multiplicity 2)
K (0.141, 0.750, 0.416) (multiplicity 2)
K (0.308, 0.250, 0.918) (multiplicity 2)
Nd (0.494, 0.750, 0.711) (multiplicity 2)
V (0.261, 0.750, 0.087) (multiplicity 2)
V (0.310, 0.250, 0.575) (multiplicity 2)
O (0.039, 0.750, 0.092) (multiplicity 2)
O (0.206, 0.250, 0.419) (multiplicity 2)
O (0.259, 0.014, 0.666) (multiplicity 4)
O (0.329, 0.750, 0.922) (multiplicity 2)
O (0.340, 0.513, 0.169) (multiplicity 4)
O (0.472, 0.750, 0.465) (multiplicity 2)

Peak list (10 most intense, 2θ from 10° to 90°, by angle)
| two_theta | d_spacing | intensity | (hkl) |
| --- | --- | --- | --- |
| 11.51 | 7.685 | 809 | 1 0 0 |
| 17.07 | 5.195 | 252 | 0 1 1 |
| 20.72 | 4.287 | 564 | 1 1 1 |
| 20.96 | 4.238 | 235 | 1 0 -2 |
| 28.78 | 3.102 | 332 | 2 1 -1 |
| 29.02 | 3.077 | 1000 | 2 1 1 |
| 29.44 | 3.034 | 731 | 0 2 0 |
| 30.48 | 2.932 | 803 | 0 1 3 |
| 41.78 | 2.162 | 275 | 2 2 -2 |
| 52.85 | 1.732 | 207 | 0 3 3 |



2.
Computed powder diffractogram of Li3Mn2P2C2O14 for Cu Kα, 1.54184 Å, from a structure optimized by DFT (PBE+U).

Crystal structure
Unit cell a=8.199 b=8.258 c=8.346 alpha=92.57 beta=92.48 gamma=103.95
Space group P1 (No. 1)
Unique sites:
Li (0.000, 0.000, 0.000) (multiplicity 1)
Li (0.006, 0.496, 0.506) (multiplicity 1)
Li (0.277, 0.713, 0.989) (multiplicity 1)
Li (0.290, 0.230, 0.521) (multiplicity 1)
Li (0.768, 0.244, 0.008) (multiplicity 1)
Li (0.775, 0.747, 0.503) (multiplicity 1)
Mn (0.369, 0.602, 0.594) (multiplicity 1)
Mn (0.411, 0.147, 0.917) (multiplicity 1)
Mn (0.859, 0.100, 0.584) (multiplicity 1)
Mn (0.902, 0.641, 0.925) (multiplicity 1)
P (0.127, 0.354, 0.834) (multiplicity 1)
P (0.148, 0.881, 0.678) (multiplicity 1)
P (0.626, 0.867, 0.833) (multiplicity 1)
P (0.651, 0.387, 0.676) (multiplicity 1)
C (0.364, 0.106, 0.200) (multiplicity 1)
C (0.405, 0.642, 0.310) (multiplicity 1)
C (0.875, 0.599, 0.208) (multiplicity 1)
C (0.906, 0.136, 0.301) (multiplicity 1)
O (0.007, 0.923, 0.574) (multiplicity 1)
O (0.088, 0.500, 0.932) (multiplicity 1)
O (0.089, 0.823, 0.846) (multiplicity 1)
O (0.185, 0.412, 0.664) (multiplicity 1)
O (0.199, 0.738, 0.582) (multiplicity 1)
O (0.265, 0.297, 0.931) (multiplicity 1)
O (0.274, 0.010, 0.078) (multiplicity 1)
O (0.283, 0.527, 0.368) (multiplicity 1)
O (0.297, 0.041, 0.711) (multiplicity 1)
O (0.329, 0.090, 0.342) (multiplicity 1)
O (0.418, 0.674, 0.168) (multiplicity 1)
O (0.466, 0.719, 0.800) (multiplicity 1)
O (0.488, 0.218, 0.146) (multiplicity 1)
O (0.501, 0.430, 0.583) (multiplicity 1)
O (0.512, 0.721, 0.429) (multiplicity 1)
O (0.577, 0.012, 0.931) (multiplicity 1)
O (0.599, 0.317, 0.841) (multiplicity 1)
O (0.691, 0.918, 0.667) (multiplicity 1)
O (0.710, 0.263, 0.566) (multiplicity 1)
O (0.763, 0.822, 0.940) (multiplicity 1)
O (0.789, 0.494, 0.095) (multiplicity 1)
O (0.792, 0.015, 0.353) (multiplicity 1)
O (0.798, 0.548, 0.711) (multiplicity 1)
O (0.857, 0.584, 0.356) (multiplicity 1)
O (0.930, 0.161, 0.156) (multiplicity 1)
O (0.967, 0.206, 0.802) (multiplicity 1)
O (0.983, 0.724, 0.149) (multiplicity 1)
O (0.998, 0.233, 0.420) (multiplicity 1)

Peak list (10 most intense, 2θ from 10° to 90°, by angle)
| two_theta | d_spacing | intensity | (hkl) |
| --- | --- | --- | --- |
| 10.63 | 8.324 | 1000 | 0 0 1 |
| 17.34 | 5.114 | 433 | -1 1 1 |
| 19.89 | 4.465 | 325 | 1 1 -1 |
| 21.20 | 4.190 | 442 | 1 1 1 |
| 25.38 | 3.510 | 139 | 2 0 1 |
| 26.75 | 3.332 | 356 | 1 1 -2 |
| 27.52 | 3.241 | 781 | 2 -2 0 |
| 35.51 | 2.528 | 142 | 2 2 0 |
| 36.40 | 2.468 | 167 | 2 2 -1 |
| 43.26 | 2.092 | 140 | 3 -3 1 |